# Sr4Li4Nb5FeO20
Theoretical X-ray diffraction stick pattern, CuKα. Input: DFT lattice parameters and positions (PBE+U).
Peak positions follow from Bragg's law for the DFT cell and can differ from measured ones.

The 12 most intense peaks (5° ≤ 2θ ≤ 70°), by angle:
- d = 13.202 Å, rel. 66
- d = 6.601 Å, rel. 20
- d = 3.651 Å, rel. 38
- d = 3.195 Å, rel. 77
- d = 2.837 Å, rel. 76
- d = 2.748 Å, rel. 100
- d = 2.200 Å, rel. 24
- d = 2.006 Å, rel. 61
- d = 1.739 Å, rel. 25
- d = 1.699 Å, rel. 25
- d = 1.620 Å, rel. 43
- d = 1.482 Å, rel. 25

```
Sr4Li4Nb5FeO20
1.0
2.837 -13.202 0.000
2.837 13.202 0.000
0.000 0.000 5.674
Sr Li Nb Fe O
4 4 5 1 20
Direct
0.076 0.924 0.000
0.424 0.576 0.500
0.576 0.424 0.500
0.924 0.076 0.000
0.000 0.500 0.246
0.000 0.500 0.754
0.500 0.000 0.246
0.500 0.000 0.754
0.000 0.000 0.500
0.159 0.841 0.500
0.344 0.656 0.000
0.656 0.344 0.000
0.841 0.159 0.500
0.500 0.500 0.000
0.076 0.924 0.500
0.098 0.398 0.251
0.099 0.399 0.748
0.214 0.214 0.782
0.230 0.770 0.500
0.272 0.728 0.000
0.282 0.282 0.286
0.398 0.098 0.251
0.399 0.099 0.748
0.423 0.577 0.000
0.577 0.423 0.000
0.601 0.901 0.252
0.602 0.902 0.749
0.718 0.718 0.714
0.728 0.272 0.000
0.770 0.230 0.500
0.786 0.786 0.218
0.901 0.601 0.252
0.902 0.602 0.749
0.924 0.076 0.500
```